(1)
Structure and calculated X-ray diffraction stick pattern of V3O4F2 (a structure optimized by DFT (GGA+U); Cu Ka).

Peak list (10 most intense, 10° ≤ 2θ ≤ 90°, in order of rising 2θ)
26.40°, intensity 99.9; 27.29°, intensity 100.0; 34.96°, intensity 73.9; 35.09°, intensity 23.9; 39.75°, intensity 21.0; 52.32°, intensity 46.0; 53.25°, intensity 27.8; 56.30°, intensity 17.7; 60.49°, intensity 18.4; 67.14°, intensity 26.1

Cell and atoms:
Cell: 4.691 5.619 7.716 Å, 85.52 88.66 88.60°
Element x y z (fractional)
V  0.000  0.000  0.000
V  0.000  0.335  0.687
V  0.036  0.670  0.357
V  0.448  0.164  0.339
V  0.513  0.844  0.684
V  0.515  0.506  0.017
O  0.188  0.699  0.133
O  0.209  0.043  0.768
O  0.217  0.371  0.447
O  0.312  0.200  0.119
O  0.318  0.876  0.443
O  0.701  0.799  0.912
O  0.805  0.303  0.911
O  0.825  0.643  0.563
F  0.307  0.541  0.784
F  0.706  0.140  0.566
F  0.708  0.461  0.254
F  0.801  0.975  0.255



(2)
Structure and calculated X-ray diffraction stick pattern of V2O3F (a structure optimized by DFT (GGA+U); Cu Ka).

Peak list (10 most intense, 10° ≤ 2θ ≤ 90°, in order of rising 2θ)
26.23°, intensity 96.0; 27.94°, intensity 100.0; 35.19°, intensity 99.5; 39.72°, intensity 25.3; 40.93°, intensity 19.8; 52.32°, intensity 55.9; 54.26°, intensity 56.7; 57.73°, intensity 17.1; 60.77°, intensity 19.8; 67.78°, intensity 39.0

Cell and atoms:
Cell: 15.242 4.663 4.663 Å, 86.45 90.00 90.00°
Element x y z (fractional)
V  0.000  0.000  0.000
V  0.099  0.470  0.470
V  0.201  0.024  0.024
V  0.299  0.486  0.486
V  0.400  0.946  0.946
V  0.500  0.493  0.493
V  0.600  0.946  0.946
V  0.701  0.486  0.486
V  0.799  0.024  0.024
V  0.901  0.470  0.470
O  0.000  0.292  0.292
O  0.103  0.192  0.788
O  0.103  0.788  0.192
O  0.200  0.289  0.289
O  0.300  0.178  0.794
O  0.300  0.794  0.178
O  0.399  0.683  0.683
O  0.500  0.177  0.792
O  0.500  0.792  0.177
O  0.601  0.683  0.683
O  0.700  0.178  0.794
O  0.700  0.794  0.178
O  0.800  0.289  0.289
O  0.897  0.192  0.788
O  0.897  0.788  0.192
F  0.000  0.686  0.686
F  0.199  0.686  0.686
F  0.400  0.285  0.285
F  0.600  0.285  0.285
F  0.801  0.686  0.686



(3)
Structure and calculated X-ray diffraction stick pattern of VOF2 (a structure optimized by DFT (GGA+U); Cu Ka).

Peak list (10 most intense, 10° ≤ 2θ ≤ 90°, in order of rising 2θ)
23.49°, intensity 94.6; 23.65°, intensity 94.3; 24.11°, intensity 100.0; 33.33°, intensity 13.6; 39.69°, intensity 16.3; 39.90°, intensity 16.3; 48.04°, intensity 21.8; 48.39°, intensity 20.2; 49.38°, intensity 17.7; 53.67°, intensity 13.2

Cell and atoms:
Cell: 5.262 5.356 12.850 Å, 92.39 90.24 119.08°
Element x y z (fractional)
V  0.000  0.000  0.000
V  0.006  0.948  0.496
V  0.324  0.614  0.663
V  0.341  0.630  0.164
V  0.656  0.285  0.329
V  0.679  0.278  0.831
O  0.108  0.320  0.589
O  0.260  0.325  0.092
O  0.438  0.989  0.255
O  0.598  0.989  0.754
O  0.830  0.169  0.949
O  0.926  0.651  0.423
F  0.085  0.516  0.788
F  0.146  0.846  0.621
F  0.216  0.800  0.056
F  0.289  0.119  0.890
F  0.415  0.178  0.454
F  0.478  0.516  0.288
F  0.564  0.469  0.725
F  0.619  0.800  0.556
F  0.746  0.847  0.120
F  0.762  0.635  0.922
F  0.897  0.134  0.389
F  0.949  0.470  0.223



(4)
Structure and calculated X-ray diffraction stick pattern of V3O4F2 (a structure optimized by DFT (GGA+U); Cu Ka).

Peak list (10 most intense, 10° ≤ 2θ ≤ 90°, in order of rising 2θ)
27.38°, intensity 100.0; 34.71°, intensity 49.0; 40.00°, intensity 22.1; 53.28°, intensity 59.1; 56.50°, intensity 18.6; 59.19°, intensity 8.9; 63.91°, intensity 9.0; 66.41°, intensity 9.7; 68.04°, intensity 21.6; 86.33°, intensity 7.3

Cell and atoms:
Cell: 4.606 4.606 9.366 Å, 90.00 90.00 90.00°
Element x y z (fractional)
V  0.000  0.000  0.000
V  0.000  0.000  0.316
V  0.000  0.000  0.683
V  0.500  0.500  0.183
V  0.500  0.500  0.500
V  0.500  0.500  0.816
O  0.196  0.196  0.833
O  0.210  0.210  0.156
O  0.290  0.710  0.656
O  0.304  0.696  0.333
O  0.696  0.304  0.333
O  0.710  0.290  0.656
O  0.790  0.790  0.156
O  0.804  0.804  0.833
F  0.190  0.190  0.496
F  0.310  0.690  0.996
F  0.690  0.310  0.996
F  0.810  0.810  0.496



(5)
Structure and calculated X-ray diffraction stick pattern of V3O4F2 (a structure optimized by DFT (GGA+U); Cu Ka).

Peak list (10 most intense, 10° ≤ 2θ ≤ 90°, in order of rising 2θ)
26.57°, intensity 98.8; 27.50°, intensity 99.0; 34.90°, intensity 100.0; 39.72°, intensity 22.7; 40.38°, intensity 21.9; 52.47°, intensity 44.0; 53.55°, intensity 55.3; 56.77°, intensity 17.7; 60.06°, intensity 19.1; 67.46°, intensity 29.8

Cell and atoms:
Cell: 5.593 5.595 7.378 Å, 71.55 71.65 70.86°
Element x y z (fractional)
V  0.000  0.000  0.000
V  0.009  0.013  0.504
V  0.327  0.319  0.152
V  0.359  0.371  0.672
V  0.680  0.671  0.327
V  0.711  0.653  0.831
O  0.002  0.357  0.823
O  0.048  0.624  0.165
O  0.108  0.101  0.204
O  0.319  0.703  0.503
O  0.450  0.438  0.867
O  0.625  0.042  0.166
O  0.703  0.316  0.501
O  0.910  0.899  0.796
F  0.252  0.244  0.464
F  0.387  0.970  0.825
F  0.574  0.560  0.130
F  0.784  0.773  0.530



(6)
Structure and calculated X-ray diffraction stick pattern of VOF3 (a structure optimized by DFT (GGA+U); Cu Ka).

Peak list (10 most intense, 10° ≤ 2θ ≤ 90°, in order of rising 2θ)
17.83°, intensity 78.3; 20.46°, intensity 100.0; 23.07°, intensity 58.9; 27.96°, intensity 8.7; 30.18°, intensity 8.5; 30.93°, intensity 16.6; 33.36°, intensity 9.7; 34.73°, intensity 9.2; 34.86°, intensity 13.4; 41.04°, intensity 9.2

Cell and atoms:
Cell: 6.419 6.382 10.783 Å, 90.00 112.66 90.00°
Element x y z (fractional)
V  0.000  0.006  0.000
V  0.000  0.994  0.500
V  0.509  0.477  0.002
V  0.509  0.523  0.502
O  0.161  0.119  0.443
O  0.161  0.881  0.943
O  0.478  0.408  0.626
O  0.478  0.592  0.126
F  0.138  0.243  0.067
F  0.138  0.757  0.567
F  0.246  0.433  0.872
F  0.246  0.567  0.372
F  0.653  0.240  0.065
F  0.653  0.760  0.565
F  0.672  0.363  0.441
F  0.672  0.637  0.941
F  0.749  0.060  0.861
F  0.749  0.940  0.361
F  0.984  0.137  0.636
F  0.984  0.863  0.136



(7)
Structure and calculated X-ray diffraction stick pattern of V6O5F19 (a structure optimized by DFT (GGA+U); Cu Ka).

Peak list (10 most intense, 10° ≤ 2θ ≤ 90°, in order of rising 2θ)
18.27°, intensity 100.0; 24.83°, intensity 46.9; 24.88°, intensity 47.2; 25.19°, intensity 90.8; 32.66°, intensity 14.9; 37.03°, intensity 13.9; 47.16°, intensity 14.2; 47.93°, intensity 14.2; 54.10°, intensity 10.3; 56.89°, intensity 9.5

Cell and atoms:
Cell: 5.339 5.484 14.819 Å, 100.60 90.03 90.87°
Element x y z (fractional)
V  0.000  0.000  0.000
V  0.014  0.591  0.333
V  0.098  0.271  0.657
V  0.506  0.503  0.993
V  0.531  0.116  0.329
V  0.594  0.823  0.669
O  0.325  0.069  0.639
O  0.328  0.728  0.978
O  0.771  0.192  0.015
O  0.826  0.030  0.685
O  0.834  0.361  0.353
F  0.103  0.361  0.778
F  0.132  0.719  0.443
F  0.137  0.038  0.111
F  0.246  0.917  0.306
F  0.251  0.558  0.641
F  0.255  0.234  0.967
F  0.319  0.407  0.305
F  0.441  0.872  0.777
F  0.467  0.217  0.447
F  0.469  0.497  0.112
F  0.596  0.730  0.548
F  0.632  0.404  0.882
F  0.635  0.061  0.214
F  0.743  0.844  0.355
F  0.748  0.547  0.690
F  0.813  0.709  0.025
F  0.942  0.239  0.550
F  0.961  0.583  0.215
F  0.977  0.872  0.881



(8)
Structure and calculated X-ray diffraction stick pattern of V2OF5 (a structure optimized by DFT (GGA+U); Cu Ka).

Peak list (10 most intense, 10° ≤ 2θ ≤ 90°, in order of rising 2θ)
23.88°, intensity 100.0; 24.03°, intensity 50.1; 33.44°, intensity 13.7; 40.30°, intensity 17.8; 40.48°, intensity 8.7; 48.89°, intensity 20.6; 49.21°, intensity 9.9; 54.28°, intensity 22.5; 54.55°, intensity 11.5; 56.00°, intensity 8.7

Cell and atoms:
Cell: 5.176 5.356 17.187 Å, 83.28 81.37 61.14°
Element x y z (fractional)
V  0.000  0.000  0.000
V  0.083  0.133  0.633
V  0.199  0.288  0.248
V  0.348  0.422  0.881
V  0.481  0.500  0.500
V  0.624  0.631  0.130
V  0.734  0.791  0.751
V  0.831  0.921  0.382
O  0.234  0.712  0.940
O  0.721  0.210  0.441
O  0.925  0.980  0.709
O  0.960  0.443  0.173
F  0.007  0.057  0.292
F  0.009  0.458  0.690
F  0.180  0.836  0.563
F  0.193  0.231  0.966
F  0.214  0.854  0.092
F  0.223  0.689  0.416
F  0.247  0.312  0.543
F  0.429  0.485  0.215
F  0.437  0.089  0.817
F  0.456  0.106  0.338
F  0.480  0.932  0.665
F  0.501  0.963  0.191
F  0.513  0.564  0.790
F  0.676  0.731  0.466
F  0.692  0.333  0.065
F  0.701  0.364  0.591
F  0.736  0.192  0.916
F  0.754  0.816  0.042
F  0.935  0.584  0.319
F  0.959  0.609  0.840



Please write out number 1 again, unchanged.
Structure and calculated X-ray diffraction stick pattern of V3O4F2 (a structure optimized by DFT (GGA+U); Cu Ka).

Peak list (10 most intense, 10° ≤ 2θ ≤ 90°, in order of rising 2θ)
26.40°, intensity 99.9; 27.29°, intensity 100.0; 34.96°, intensity 73.9; 35.09°, intensity 23.9; 39.75°, intensity 21.0; 52.32°, intensity 46.0; 53.25°, intensity 27.8; 56.30°, intensity 17.7; 60.49°, intensity 18.4; 67.14°, intensity 26.1

Cell and atoms:
Cell: 4.691 5.619 7.716 Å, 85.52 88.66 88.60°
Element x y z (fractional)
V  0.000  0.000  0.000
V  0.000  0.335  0.687
V  0.036  0.670  0.357
V  0.448  0.164  0.339
V  0.513  0.844  0.684
V  0.515  0.506  0.017
O  0.188  0.699  0.133
O  0.209  0.043  0.768
O  0.217  0.371  0.447
O  0.312  0.200  0.119
O  0.318  0.876  0.443
O  0.701  0.799  0.912
O  0.805  0.303  0.911
O  0.825  0.643  0.563
F  0.307  0.541  0.784
F  0.706  0.140  0.566
F  0.708  0.461  0.254
F  0.801  0.975  0.255